(1)
This entry pairs a crystal structure of Th2GaPd4 with its calculated X-ray powder pattern. Radiation: Cu Kα (λ = 1.5418 Å). Structure: a crystal structure in Alexandria, relaxed with PBE.
Peak positions follow from Bragg's law for the DFT cell and can differ from measured ones.

The 10 most intense peaks (2θ = 5–70°), by angle:
(0 2 0), 3.790 Å, 23.48°, rel. 55
(0 2 2), 3.368 Å, 26.46°, rel. 72
(2 0 0), 2.904 Å, 30.79°, rel. 28
(0 2 4), 2.645 Å, 33.89°, rel. 68
(1 1 5), 2.487 Å, 36.11°, rel. 34
(0 0 6), 2.462 Å, 36.50°, rel. 36
(2 2 0), 2.305 Å, 39.08°, rel. 100
(2 0 4), 2.283 Å, 39.48°, rel. 45
(0 4 0), 1.895 Å, 48.02°, rel. 28
(2 2 6), 1.683 Å, 54.54°, rel. 45

Atomic structure:
a = 5.808 Å, b = 7.579 Å, c = 14.771 Å
α = 90.00°, β = 90.00°, γ = 90.00°
Space group Fmmm (No. 69)
Symmetry-distinct sites (fractional):
Th: 0.000 0.000 0.139 [8 per cell]
Ga: 0.000 0.000 0.500 [4 per cell]
Pd: 0.000 0.000 0.329 [8 per cell]
Pd: 0.250 0.250 0.000 [8 per cell]



(2)
This entry pairs a crystal structure of Sr2AlCo with its calculated X-ray powder pattern. Radiation: Cu Kα (λ = 1.5418 Å). Structure: a crystal structure in Alexandria, relaxed with PBE.
Peak positions follow from Bragg's law for the DFT cell and can differ from measured ones.

The 10 most intense peaks (2θ = 5–70°), by angle:
(0 0 1), 8.277 Å, 10.69°, rel. 54
(0 0 2), 4.139 Å, 21.47°, rel. 12
(1 1 0), 3.611 Å, 24.65°, rel. 46
(2 0 -2), 3.146 Å, 28.37°, rel. 62
(1 1 -2), 2.941 Å, 30.39°, rel. 100
(1 1 2), 2.544 Å, 35.28°, rel. 49
(0 2 0), 2.107 Å, 42.92°, rel. 61
(0 0 4), 2.069 Å, 43.74°, rel. 18
(4 0 -3), 1.713 Å, 53.49°, rel. 20
(0 2 4), 1.475 Å, 63.00°, rel. 23

Atomic structure:
a = 7.307 Å, b = 4.211 Å, c = 8.622 Å
α = 90.00°, β = 106.25°, γ = 90.00°
Space group Cm (No. 8)
Symmetry-distinct sites (fractional):
Sr: 0.000 0.000 0.000 [2 per cell]
Sr: 0.173 0.000 0.525 [2 per cell]
Al: 0.420 0.000 0.263 [2 per cell]
Co: 0.253 0.500 0.263 [2 per cell]



(3)
This entry pairs a crystal structure of Sr3GaGe2Au6 with its calculated X-ray powder pattern. Radiation: Cu Kα (λ = 1.5418 Å). Structure: a crystal structure in Alexandria, relaxed with PBE.
Peak positions follow from Bragg's law for the DFT cell and can differ from measured ones.

The 10 most intense peaks (2θ = 5–70°), by angle:
(0 0 1), 8.048 Å, 10.99°, rel. 32
(1 0 1), 4.684 Å, 18.95°, rel. 36
(0 0 2), 4.024 Å, 22.09°, rel. 20
(0 2 1), 2.712 Å, 33.03°, rel. 100
(0 0 3), 2.683 Å, 33.40°, rel. 27
(2 0 2), 2.342 Å, 38.44°, rel. 81
(0 2 3), 1.963 Å, 46.25°, rel. 25
(2 2 0), 1.663 Å, 55.24°, rel. 28
(0 2 4), 1.649 Å, 55.73°, rel. 25
(2 2 3), 1.413 Å, 66.11°, rel. 20

Atomic structure:
a = 6.6517 Å, b = 6.6517 Å, c = 8.0475 Å
α = 90.00°, β = 90.00°, γ = 120.00°
Space group P-3m1 (No. 164)
Symmetry-distinct sites (fractional):
Sr: 0.0000 0.0000 0.0000 [1 per cell]
Sr: 0.3333 0.6667 0.6782 [2 per cell]
Ga: 0.0000 0.0000 0.5000 [1 per cell]
Ge: 0.3333 0.6667 0.0811 [2 per cell]
Au: 0.1807 0.3615 0.3147 [6 per cell]



(4)
This entry pairs a crystal structure of Ba5Ru2O11 with its calculated X-ray powder pattern. Radiation: Cu Kα (λ = 1.5418 Å). Structure: a crystal structure in Alexandria, relaxed with PBE.
Peak positions follow from Bragg's law for the DFT cell and can differ from measured ones.

The 10 most intense peaks (2θ = 5–70°), by angle:
(1 1 -4), 3.483 Å, 25.57°, rel. 19
(0 2 4), 3.444 Å, 25.87°, rel. 17
(1 1 4), 3.417 Å, 26.08°, rel. 19
(2 0 0), 3.043 Å, 29.35°, rel. 49
(1 3 0), 3.030 Å, 29.48°, rel. 100
(0 2 5), 2.998 Å, 29.80°, rel. 15
(0 4 4), 2.273 Å, 39.65°, rel. 14
(2 2 4), 2.261 Å, 39.87°, rel. 14
(3 3 0), 1.754 Å, 52.14°, rel. 19
(2 6 0), 1.515 Å, 61.17°, rel. 14

Atomic structure:
a = 6.086 Å, b = 10.483 Å, c = 18.279 Å
α = 90.00°, β = 91.29°, γ = 90.00°
Space group C2/c (No. 15)
Symmetry-distinct sites (fractional):
Ba: 0.000 0.000 0.139 [8 per cell]
Ba: 0.000 0.336 0.250 [4 per cell]
Ba: 0.007 0.335 0.483 [8 per cell]
Ru: 0.007 0.332 0.673 [8 per cell]
O: 0.000 0.184 0.750 [4 per cell]
O: 0.013 0.489 0.620 [8 per cell]
O: 0.106 0.036 0.500 [8 per cell]
O: 0.217 0.256 0.889 [8 per cell]
O: 0.221 0.404 0.754 [8 per cell]
O: 0.245 0.255 0.623 [8 per cell]



Repeat the third record exactly.
This entry pairs a crystal structure of Sr3GaGe2Au6 with its calculated X-ray powder pattern. Radiation: Cu Kα (λ = 1.5418 Å). Structure: a crystal structure in Alexandria, relaxed with PBE.
Peak positions follow from Bragg's law for the DFT cell and can differ from measured ones.

The 10 most intense peaks (2θ = 5–70°), by angle:
(0 0 1), 8.048 Å, 10.99°, rel. 32
(1 0 1), 4.684 Å, 18.95°, rel. 36
(0 0 2), 4.024 Å, 22.09°, rel. 20
(0 2 1), 2.712 Å, 33.03°, rel. 100
(0 0 3), 2.683 Å, 33.40°, rel. 27
(2 0 2), 2.342 Å, 38.44°, rel. 81
(0 2 3), 1.963 Å, 46.25°, rel. 25
(2 2 0), 1.663 Å, 55.24°, rel. 28
(0 2 4), 1.649 Å, 55.73°, rel. 25
(2 2 3), 1.413 Å, 66.11°, rel. 20

Atomic structure:
a = 6.6517 Å, b = 6.6517 Å, c = 8.0475 Å
α = 90.00°, β = 90.00°, γ = 120.00°
Space group P-3m1 (No. 164)
Symmetry-distinct sites (fractional):
Sr: 0.0000 0.0000 0.0000 [1 per cell]
Sr: 0.3333 0.6667 0.6782 [2 per cell]
Ga: 0.0000 0.0000 0.5000 [1 per cell]
Ge: 0.3333 0.6667 0.0811 [2 per cell]
Au: 0.1807 0.3615 0.3147 [6 per cell]